The following is a simulated PXRD pattern of K3La3YTe8. It was derived from DFT lattice parameters and positions (PBE), using CuKα.
No peak broadening, texture or thermal motion is included.

Atomic structure:
Unit cell a=9.248 b=9.248 c=9.945 alpha=117.78 beta=117.78 gamma=59.93
Element x y z (fractional)
K: 0.000 0.000 0.000
K: 0.000 0.500 0.000
K: 0.500 0.000 0.000
La: 0.000 0.500 0.500
La: 0.500 0.000 0.500
La: 0.500 0.500 0.500
Y: 0.000 0.000 0.500
Te: 0.231 0.231 0.709
Te: 0.231 0.747 0.709
Te: 0.253 0.769 0.291
Te: 0.261 0.261 0.282
Te: 0.739 0.739 0.718
Te: 0.747 0.231 0.709
Te: 0.769 0.253 0.291
Te: 0.769 0.769 0.291

The 10 most intense peaks (5 to 70 degrees two-theta), sorted by position:
2θ 10.55, d = 8.383 Å, rel. 41
2θ 26.39, d = 3.377 Å, rel. 100
2θ 33.51, d = 2.674 Å, rel. 18
2θ 36.34, d = 2.472 Å, rel. 35
2θ 38.95, d = 2.312 Å, rel. 25
2θ 39.00, d = 2.310 Å, rel. 12
2θ 45.70, d = 1.985 Å, rel. 12
2θ 47.68, d = 1.907 Å, rel. 19
2θ 59.54, d = 1.553 Å, rel. 11
2θ 63.21, d = 1.471 Å, rel. 16

The following is a simulated PXRD pattern of Zn2Cu2Cl7. It was derived from DFT lattice parameters and positions (PBE), using CuKα.
No peak broadening, texture or thermal motion is included.

Atomic structure:
Unit cell a=6.797 b=6.797 c=12.344 alpha=102.28 beta=102.28 gamma=93.15
Element x y z (fractional)
Zn: 0.012 0.516 0.701
Zn: 0.484 0.988 0.799
Zn: 0.516 0.012 0.201
Zn: 0.988 0.484 0.299
Cu: 0.256 0.413 0.023
Cu: 0.413 0.256 0.523
Cu: 0.587 0.744 0.477
Cu: 0.744 0.587 0.977
Cl: 0.033 0.579 0.133
Cl: 0.110 0.263 0.584
Cl: 0.155 0.845 0.750
Cl: 0.263 0.110 0.084
Cl: 0.331 0.458 0.383
Cl: 0.421 0.967 0.367
Cl: 0.458 0.331 0.883
Cl: 0.542 0.669 0.117
Cl: 0.579 0.033 0.633
Cl: 0.669 0.542 0.617
Cl: 0.737 0.890 0.916
Cl: 0.845 0.155 0.250
Cl: 0.890 0.737 0.416
Cl: 0.967 0.421 0.867

The 10 most intense peaks (5 to 70 degrees two-theta), sorted by position:
2θ 13.41, d = 6.604 Å, rel. 15
2θ 19.99, d = 4.443 Å, rel. 49
2θ 22.46, d = 3.958 Å, rel. 11
2θ 23.58, d = 3.773 Å, rel. 100
2θ 26.30, d = 3.388 Å, rel. 18
2θ 27.00, d = 3.302 Å, rel. 11
2θ 33.05, d = 2.710 Å, rel. 10
2θ 34.08, d = 2.631 Å, rel. 27
2θ 45.99, d = 1.973 Å, rel. 24
2θ 51.39, d = 1.778 Å, rel. 16

The following is a simulated PXRD pattern of La3Cd2Ga4. It was derived from DFT lattice parameters and positions (PBE), using CuKα.
No peak broadening, texture or thermal motion is included.

Atomic structure:
Unit cell a=6.143 b=6.143 c=9.086 alpha=106.93 beta=106.93 gamma=44.50
Element x y z (fractional)
La: 0.000 0.000 0.000
La: 0.327 0.327 0.334
La: 0.673 0.673 0.666
Cd: 0.400 0.400 0.730
Cd: 0.600 0.600 0.270
Ga: 0.072 0.072 0.417
Ga: 0.303 0.303 0.978
Ga: 0.697 0.697 0.022
Ga: 0.928 0.928 0.583

The 10 most intense peaks (5 to 70 degrees two-theta), sorted by position:
2θ 31.11, d = 2.875 Å, rel. 32
2θ 31.25, d = 2.862 Å, rel. 72
2θ 31.45, d = 2.845 Å, rel. 100
2θ 38.58, d = 2.334 Å, rel. 77
2θ 38.71, d = 2.326 Å, rel. 39
2θ 44.88, d = 2.020 Å, rel. 19
2θ 50.47, d = 1.808 Å, rel. 18
2θ 50.70, d = 1.800 Å, rel. 30
2θ 60.96, d = 1.520 Å, rel. 16
2θ 65.49, d = 1.425 Å, rel. 17

The following is a simulated PXRD pattern of UI4. It was derived from DFT lattice parameters and positions (PBE), using CuKα.
No peak broadening, texture or thermal motion is included.

Atomic structure:
Unit cell a=7.413 b=4.484 c=7.779 alpha=90.00 beta=94.43 gamma=90.00
Element x y z (fractional)
U: 0.000 0.000 0.000
I: 0.217 0.500 0.836
I: 0.258 0.000 0.301
I: 0.742 0.000 0.699
I: 0.783 0.500 0.164

The 10 most intense peaks (5 to 70 degrees two-theta), sorted by position:
2θ 11.41, d = 7.756 Å, rel. 55
2θ 11.98, d = 7.390 Å, rel. 45
2θ 15.91, d = 5.569 Å, rel. 28
2θ 25.50, d = 3.493 Å, rel. 100
2θ 26.77, d = 3.330 Å, rel. 35
2θ 32.16, d = 2.784 Å, rel. 28
2θ 32.81, d = 2.730 Å, rel. 29
2θ 40.25, d = 2.241 Å, rel. 51
2θ 41.87, d = 2.158 Å, rel. 22
2θ 44.30, d = 2.045 Å, rel. 28

The following is a simulated PXRD pattern of Pm3Tm3Sc2. It was derived from DFT lattice parameters and positions (PBE), using CuKα.
No peak broadening, texture or thermal motion is included.

Atomic structure:
Unit cell a=4.960 b=4.991 c=9.732 alpha=90.00 beta=90.00 gamma=90.00
Element x y z (fractional)
Pm: 0.000 0.000 0.000
Pm: 0.000 0.000 0.500
Pm: 0.500 0.500 0.000
Tm: 0.000 0.500 0.252
Tm: 0.000 0.500 0.748
Tm: 0.500 0.500 0.500
Sc: 0.500 0.000 0.252
Sc: 0.500 0.000 0.748

The 10 most intense peaks (5 to 70 degrees two-theta), sorted by position:
2θ 31.38, d = 2.851 Å, rel. 100
2θ 35.99, d = 2.495 Å, rel. 17
2θ 36.22, d = 2.480 Å, rel. 17
2θ 36.95, d = 2.433 Å, rel. 16
2θ 51.99, d = 1.759 Å, rel. 12
2θ 52.53, d = 1.742 Å, rel. 12
2θ 61.84, d = 1.500 Å, rel. 14
2θ 62.15, d = 1.494 Å, rel. 14
2θ 63.12, d = 1.473 Å, rel. 13
2θ 65.48, d = 1.425 Å, rel. 12

The following is a simulated PXRD pattern of Tm2In2GeRh4. It was derived from DFT lattice parameters and positions (PBE), using CuKα.
No peak broadening, texture or thermal motion is included.

Atomic structure:
Unit cell a=6.294 b=6.294 c=6.294 alpha=119.63 beta=119.63 gamma=90.64
Element x y z (fractional)
Tm: 0.193 0.193 0.000
Tm: 0.807 0.807 0.000
In: 0.250 0.750 0.500
In: 0.750 0.250 0.500
Ge: 0.500 0.500 0.000
Rh: 0.237 0.237 0.474
Rh: 0.237 0.763 0.000
Rh: 0.763 0.237 0.000
Rh: 0.763 0.763 0.526

The 10 most intense peaks (5 to 70 degrees two-theta), sorted by position:
2θ 19.84, d = 4.475 Å, rel. 9
2θ 33.51, d = 2.674 Å, rel. 18
2θ 34.85, d = 2.574 Å, rel. 100
2θ 40.30, d = 2.238 Å, rel. 54
2θ 40.78, d = 2.213 Å, rel. 14
2θ 44.35, d = 2.042 Å, rel. 24
2θ 53.39, d = 1.716 Å, rel. 10
2θ 58.32, d = 1.582 Å, rel. 18
2θ 58.68, d = 1.573 Å, rel. 19
2θ 69.77, d = 1.348 Å, rel. 24